(1)
Structure and theoretical powder XRD pattern of GaPdPt (a structure optimized by DFT (PBE); Cu Ka).
No peak broadening, texture or thermal motion is included.

The 10 most intense peaks (10° ≤ 2θ ≤ 90°), by angle:
(1 1 0), 2θ 25.94, I 76; (1 0 2), 2θ 29.44, I 34; (1 1 2), 2θ 36.51, I 67; (2 0 2), 2θ 39.63, I 100; (1 0 3), 2θ 41.28, I 49; (2 1 1), 2θ 42.18, I 49; (3 0 0), 2θ 45.75, I 78; (2 1 2), 2θ 47.98, I 62; (4 1 0), 2θ 72.86, I 27; (3 2 2), 2θ 74.55, I 32

Lattice parameters (Å, degrees): 6.8694 6.8694 7.0557 90.00 90.00 120.00
Space group P-62c (No. 190)
Unique sites:
Ga: 0.0000 0.2806 0.0000
Pd: 0.0688 0.6327 0.2500
Pt: 0.0000 0.0000 0.2500
Pt: 0.3333 0.6667 0.5621



(2)
Structure and theoretical powder XRD pattern of DyTm2Ga4Cu (a structure optimized by DFT (PBE); Cu Ka).
No peak broadening, texture or thermal motion is included.

The 10 most intense peaks (10° ≤ 2θ ≤ 90°), by angle:
(1 1 1), 2θ 27.32, I 39; (1 0 4), 2θ 30.12, I 28; (1 1 3), 2θ 33.34, I 100; (2 1 1), 2θ 36.72, I 59; (2 0 4), 2θ 38.91, I 40; (0 0 6), 2θ 40.41, I 14; (0 1 5), 2θ 40.68, I 29; (0 2 0), 2θ 45.89, I 26; (3 1 1), 2θ 48.94, I 15; (2 2 4), 2θ 61.69, I 20

Lattice parameters (Å, degrees): 6.4083 3.9549 13.3922 90.00 90.00 90.00
Space group Amm2 (No. 38)
Unique sites:
Dy: 0.0000 0.0000 0.0000
Tm: 0.0000 0.0000 0.2706
Tm: 0.5000 0.0000 0.8116
Ga: 0.2361 0.0000 0.6368
Ga: 0.3062 0.0000 0.4449
Cu: 0.5000 0.0000 0.0899